Record 1
Calculated X-ray powder pattern
Compound: Rb2MgTeS4
Radiation: λ = 1.5418 Å (Cu Kα)
Structure: a structure optimized by DFT (GGA-PBE)

Top 12 peaks for 2θ = 10–90°, by angle:
2θ 15.1, intensity 30
2θ 18.9, intensity 53
2θ 24.4, intensity 17
2θ 25.6, intensity 100
2θ 25.8, intensity 57
2θ 30.4, intensity 41
2θ 35.7, intensity 23
2θ 36.1, intensity 35
2θ 43.8, intensity 19
2θ 44.1, intensity 22
2θ 46.9, intensity 24
2θ 47.8, intensity 16

Cell and atoms:
Cell lengths 13.826, 12.179, 7.969 Å; angles 83.88, 61.15, 34.97 degrees
Atoms (fractional coordinates):
Rb1 0.055 0.055 0.695
Rb2 0.305 0.305 0.945
Rb3 0.695 0.695 0.055
Rb4 0.945 0.945 0.305
Mg1 0.125 0.125 0.125
Mg2 0.875 0.875 0.875
Te1 0.375 0.375 0.375
Te2 0.625 0.625 0.625
S1 0.042 0.312 0.411
S2 0.265 0.589 0.688
S3 0.312 0.042 0.735
S4 0.411 0.735 0.042
S5 0.589 0.265 0.958
S6 0.688 0.958 0.265
S7 0.735 0.411 0.312
S8 0.958 0.688 0.589

Record 2
Calculated X-ray powder pattern
Compound: RbMg6Sb
Radiation: λ = 1.5418 Å (Cu Kα)
Structure: a structure optimized by DFT (GGA-PBE)

Top 12 peaks for 2θ = 10–90°, by angle:
2θ 10.1, intensity 57
2θ 15.1, intensity 26
2θ 17.5, intensity 31
2θ 20.2, intensity 33
2θ 20.9, intensity 65
2θ 23.2, intensity 22
2θ 27.4, intensity 69
2θ 29.2, intensity 25
2θ 30.6, intensity 34
2θ 34.3, intensity 34
2θ 35.4, intensity 100
2θ 46.6, intensity 22

Cell and atoms:
Cell lengths 5.073, 9.303, 9.303 Å; angles 38.95, 90.00, 90.00 degrees
Atoms (fractional coordinates):
Rb1 0.000 0.000 0.000
Mg1 0.000 0.474 0.972
Mg2 0.000 0.972 0.474
Mg3 0.500 0.082 0.597
Mg4 0.500 0.178 0.178
Mg5 0.500 0.597 0.082
Mg6 0.500 0.682 0.682
Sb1 0.000 0.370 0.370

Record 3
Calculated X-ray powder pattern
Compound: Rb2MgSbSe4
Radiation: λ = 1.5418 Å (Cu Kα)
Structure: a structure optimized by DFT (GGA-PBE)

Top 12 peaks for 2θ = 10–90°, by angle:
2θ 13.9, intensity 15
2θ 14.3, intensity 24
2θ 24.7, intensity 26
2θ 25.0, intensity 100
2θ 28.1, intensity 14
2θ 28.9, intensity 43
2θ 34.0, intensity 16
2θ 34.9, intensity 44
2θ 37.3, intensity 16
2θ 42.6, intensity 14
2θ 45.9, intensity 40
2θ 46.7, intensity 17

Cell and atoms:
Cell lengths 14.434, 12.803, 8.123 Å; angles 84.05, 61.91, 34.04 degrees
Atoms (fractional coordinates):
Rb1 0.056 0.056 0.694
Rb2 0.306 0.306 0.944
Rb3 0.694 0.694 0.056
Rb4 0.944 0.944 0.306
Mg1 0.125 0.125 0.125
Mg2 0.875 0.875 0.875
Sb1 0.375 0.375 0.375
Sb2 0.625 0.625 0.625
Se1 0.039 0.320 0.419
Se2 0.277 0.581 0.680
Se3 0.320 0.039 0.723
Se4 0.419 0.723 0.039
Se5 0.581 0.277 0.961
Se6 0.680 0.961 0.277
Se7 0.723 0.419 0.320
Se8 0.961 0.680 0.581

Record 4
Calculated X-ray powder pattern
Compound: Rb2MgZn2Se4
Radiation: λ = 1.5418 Å (Cu Kα)
Structure: a structure optimized by DFT (GGA-PBE)

Top 12 peaks for 2θ = 10–90°, by angle:
2θ 11.6, intensity 40
2θ 26.4, intensity 93
2θ 27.6, intensity 89
2θ 28.2, intensity 38
2θ 29.3, intensity 69
2θ 31.4, intensity 100
2θ 32.6, intensity 41
2θ 33.1, intensity 34
2θ 44.6, intensity 48
2θ 45.5, intensity 31
2θ 50.2, intensity 50
2θ 53.3, intensity 61

Cell and atoms:
Cell lengths 8.234, 8.234, 7.991 Å; angles 107.26, 107.26, 28.57 degrees
Atoms (fractional coordinates):
Rb1 0.125 0.125 0.043
Rb2 0.875 0.875 0.957
Mg1 0.000 0.000 0.500
Zn1 0.329 0.329 0.520
Zn2 0.671 0.671 0.480
Se1 0.207 0.207 0.675
Se2 0.480 0.480 0.716
Se3 0.520 0.520 0.284
Se4 0.793 0.793 0.325

Record 5
Calculated X-ray powder pattern
Compound: RbMg14Si
Radiation: λ = 1.5418 Å (Cu Kα)
Structure: a structure optimized by DFT (GGA-PBE)

Top 12 peaks for 2θ = 10–90°, by angle:
2θ 15.6, intensity 10
2θ 17.8, intensity 9
2θ 23.1, intensity 8
2θ 30.0, intensity 7
2θ 31.6, intensity 26
2θ 34.2, intensity 23
2θ 36.0, intensity 100
2θ 47.2, intensity 15
2θ 56.2, intensity 18
2θ 62.4, intensity 15
2θ 67.5, intensity 17
2θ 68.6, intensity 14

Cell and atoms:
Cell lengths 6.542, 6.542, 10.499 Å; angles 90.00, 90.00, 120.00 degrees
Atoms (fractional coordinates):
Rb1 0.000 0.000 0.000
Mg1 0.011 0.505 0.000
Mg2 0.167 0.334 0.276
Mg3 0.167 0.334 0.724
Mg4 0.167 0.833 0.276
Mg5 0.167 0.833 0.724
Mg6 0.495 0.505 0.000
Mg7 0.495 0.989 0.000
Mg8 0.507 0.015 0.500
Mg9 0.507 0.493 0.500
Mg10 0.666 0.833 0.276
Mg11 0.666 0.833 0.724
Mg12 0.667 0.333 0.242
Mg13 0.667 0.333 0.758
Mg14 0.985 0.493 0.500
Si1 0.000 0.000 0.500

Record 6
Calculated X-ray powder pattern
Compound: RbMg14Si
Radiation: λ = 1.5418 Å (Cu Kα)
Structure: a structure optimized by DFT (GGA-PBE)

Top 12 peaks for 2θ = 10–90°, by angle:
2θ 27.7, intensity 12
2θ 30.6, intensity 12
2θ 31.8, intensity 39
2θ 34.7, intensity 70
2θ 35.0, intensity 40
2θ 36.4, intensity 100
2θ 48.0, intensity 22
2θ 54.2, intensity 16
2θ 63.7, intensity 16
2θ 66.1, intensity 15
2θ 69.2, intensity 18
2θ 69.4, intensity 10

Cell and atoms:
Cell lengths 10.254, 6.788, 6.788 Å; angles 56.07, 90.00, 90.00 degrees
Atoms (fractional coordinates):
Rb1 0.000 0.000 0.000
Mg1 0.000 0.002 0.496
Mg2 0.000 0.496 0.002
Mg3 0.216 0.624 0.624
Mg4 0.256 0.142 0.629
Mg5 0.256 0.629 0.142
Mg6 0.267 0.150 0.150
Mg7 0.500 0.482 0.482
Mg8 0.500 0.486 0.969
Mg9 0.500 0.969 0.486
Mg10 0.500 0.976 0.976
Mg11 0.733 0.150 0.150
Mg12 0.744 0.142 0.629
Mg13 0.744 0.629 0.142
Mg14 0.784 0.624 0.624
Si1 0.000 0.438 0.438

Record 7
Calculated X-ray powder pattern
Compound: RbMgSn6
Radiation: λ = 1.5418 Å (Cu Kα)
Structure: a structure optimized by DFT (GGA-PBE)

Top 12 peaks for 2θ = 10–90°, by angle:
2θ 16.5, intensity 24
2θ 24.6, intensity 24
2θ 27.0, intensity 88
2θ 30.7, intensity 35
2θ 30.9, intensity 30
2θ 36.1, intensity 100
2θ 36.6, intensity 79
2θ 38.3, intensity 18
2θ 52.8, intensity 28
2θ 60.3, intensity 20
2θ 64.5, intensity 27
2θ 65.6, intensity 37

Cell and atoms:
Cell lengths 4.906, 4.906, 10.726 Å; angles 90.00, 90.00, 90.00 degrees
Atoms (fractional coordinates):
Rb1 0.000 0.000 0.000
Mg1 0.000 0.000 0.500
Sn1 0.000 0.500 0.326
Sn2 0.000 0.500 0.674
Sn3 0.500 0.000 0.326
Sn4 0.500 0.000 0.674
Sn5 0.500 0.500 0.152
Sn6 0.500 0.500 0.848

Record 8
Calculated X-ray powder pattern
Compound: RbMgTlSn2
Radiation: λ = 1.5418 Å (Cu Kα)
Structure: a structure optimized by DFT (GGA-PBE)

Top 12 peaks for 2θ = 10–90°, by angle:
2θ 18.6, intensity 93
2θ 27.8, intensity 80
2θ 28.3, intensity 100
2θ 34.6, intensity 83
2θ 38.3, intensity 59
2θ 39.5, intensity 29
2θ 40.7, intensity 40
2θ 44.9, intensity 44
2θ 49.7, intensity 30
2θ 54.4, intensity 34
2θ 58.2, intensity 27
2θ 64.4, intensity 27

Cell and atoms:
Cell lengths 7.146, 7.146, 7.146 Å; angles 137.42, 137.42, 61.80 degrees
Atoms (fractional coordinates):
Rb1 0.000 0.000 0.000
Mg1 0.750 0.250 0.500
Tl1 0.250 0.750 0.500
Sn1 0.382 0.382 0.000
Sn2 0.618 0.618 0.000

Record 9
Calculated X-ray powder pattern
Compound: Rb3Th2MgTe6
Radiation: λ = 1.5418 Å (Cu Kα)
Structure: a structure optimized by DFT (GGA-PBE)

Top 12 peaks for 2θ = 10–90°, by angle:
2θ 10.3, intensity 27
2θ 26.5, intensity 100
2θ 33.3, intensity 14
2θ 36.0, intensity 34
2θ 39.5, intensity 38
2θ 40.9, intensity 7
2θ 45.1, intensity 10
2θ 48.1, intensity 19
2θ 54.5, intensity 10
2θ 59.2, intensity 10
2θ 63.9, intensity 16
2θ 69.4, intensity 10

Cell and atoms:
Cell lengths 7.911, 7.911, 8.953 Å; angles 98.49, 98.49, 120.01 degrees
Atoms (fractional coordinates):
Rb1 0.000 0.000 0.000
Rb2 0.332 0.668 0.000
Rb3 0.668 0.332 0.000
Th1 0.166 0.834 0.500
Th2 0.834 0.166 0.500
Mg1 0.500 0.500 0.500
Te1 0.109 0.434 0.300
Te2 0.242 0.242 0.700
Te3 0.434 0.109 0.300
Te4 0.566 0.891 0.700
Te5 0.758 0.758 0.300
Te6 0.891 0.566 0.700

Record 10
Calculated X-ray powder pattern
Compound: RbMg6Ti
Radiation: λ = 1.5418 Å (Cu Kα)
Structure: a structure optimized by DFT (GGA-PBE)

Top 12 peaks for 2θ = 10–90°, by angle:
2θ 17.4, intensity 25
2θ 24.8, intensity 24
2θ 27.8, intensity 20
2θ 33.0, intensity 100
2θ 35.3, intensity 39
2θ 43.8, intensity 12
2θ 45.5, intensity 10
2θ 50.8, intensity 18
2θ 57.5, intensity 18
2θ 61.9, intensity 22
2θ 69.3, intensity 8
2θ 73.6, intensity 9

Cell and atoms:
Cell lengths 7.189, 7.189, 4.133 Å; angles 90.00, 90.00, 90.00 degrees
Atoms (fractional coordinates):
Rb1 0.000 0.000 0.000
Mg1 0.000 0.500 0.000
Mg2 0.289 0.289 0.500
Mg3 0.289 0.711 0.500
Mg4 0.500 0.000 0.000
Mg5 0.711 0.289 0.500
Mg6 0.711 0.711 0.500
Ti1 0.500 0.500 0.000

Record 11
Calculated X-ray powder pattern
Compound: Rb2Mg5Tl12
Radiation: λ = 1.5418 Å (Cu Kα)
Structure: a structure optimized by DFT (GGA-PBE)

Top 12 peaks for 2θ = 10–90°, by angle:
2θ 16.0, intensity 39
2θ 21.4, intensity 13
2θ 25.2, intensity 22
2θ 27.9, intensity 11
2θ 28.5, intensity 40
2θ 32.4, intensity 100
2θ 36.3, intensity 57
2θ 38.0, intensity 16
2θ 42.6, intensity 11
2θ 57.8, intensity 16
2θ 58.9, intensity 11
2θ 59.8, intensity 11

Cell and atoms:
Cell lengths 8.447, 8.447, 8.447 Å; angles 81.79, 81.79, 81.79 degrees
Atoms (fractional coordinates):
Rb1 0.144 0.144 0.144
Rb2 0.856 0.856 0.856
Mg1 0.000 0.500 0.500
Mg2 0.403 0.403 0.403
Mg3 0.500 0.000 0.500
Mg4 0.500 0.500 0.000
Mg5 0.597 0.597 0.597
Tl1 0.161 0.161 0.624
Tl2 0.161 0.624 0.161
Tl3 0.210 0.500 0.790
Tl4 0.210 0.790 0.500
Tl5 0.376 0.839 0.839
Tl6 0.500 0.210 0.790
Tl7 0.500 0.790 0.210
Tl8 0.624 0.161 0.161
Tl9 0.790 0.210 0.500
Tl10 0.790 0.500 0.210
Tl11 0.839 0.376 0.839
Tl12 0.839 0.839 0.376

Record 12
Calculated X-ray powder pattern
Compound: RbMgTl
Radiation: λ = 1.5418 Å (Cu Kα)
Structure: a structure optimized by DFT (GGA-PBE)

Top 12 peaks for 2θ = 10–90°, by angle:
2θ 10.8, intensity 23
2θ 20.0, intensity 24
2θ 20.4, intensity 47
2θ 26.9, intensity 24
2θ 27.5, intensity 100
2θ 34.0, intensity 38
2θ 40.4, intensity 36
2θ 41.5, intensity 11
2θ 47.9, intensity 24
2θ 49.0, intensity 9
2θ 57.0, intensity 13
2θ 59.4, intensity 12

Cell and atoms:
Cell lengths 5.464, 5.464, 8.225 Å; angles 90.00, 90.00, 105.42 degrees
Atoms (fractional coordinates):
Rb1 0.250 0.750 0.852
Rb2 0.750 0.250 0.148
Mg1 0.250 0.250 0.500
Mg2 0.750 0.750 0.500
Tl1 0.250 0.750 0.348
Tl2 0.750 0.250 0.652